No. 1
This entry pairs a crystal structure of GaS with its calculated PXRD pattern. Radiation: Cu Kα. Structure: a crystal structure in the Materials Project, relaxed with GGA-PBE.

The 12 most intense peaks (2θ = 5–70°), low angle first:
| 2θ (°) | d (Å) | I (rel.) |
| --- | --- | --- |
| 10.17 | 8.701 | 100.0 |
| 20.41 | 4.351 | 29.6 |
| 28.44 | 3.138 | 49.2 |
| 28.91 | 3.088 | 11.6 |
| 30.28 | 2.952 | 60.4 |
| 30.83 | 2.900 | 12.8 |
| 32.44 | 2.760 | 11.9 |
| 42.44 | 2.130 | 51.1 |
| 50.37 | 1.812 | 33.9 |
| 51.09 | 1.788 | 39.3 |
| 60.23 | 1.537 | 11.2 |
| 67.92 | 1.380 | 12.0 |

Structure:
Cell lengths 3.6235, 3.6235, 17.4025 Å; angles 90.00, 90.00, 120.00 degrees
Element x y z (fractional)
Ga  0.0000  0.0000  0.1792
Ga  0.0000  0.0000  0.3208
Ga  0.0000  0.0000  0.6792
Ga  0.0000  0.0000  0.8208
S  0.3333  0.6667  0.1170
S  0.3333  0.6667  0.3830
S  0.6667  0.3333  0.6170
S  0.6667  0.3333  0.8830



No. 2
This entry pairs a crystal structure of Pr4Pt with its calculated PXRD pattern. Radiation: Cu Kα. Structure: a crystal structure in the Materials Project, relaxed with GGA-PBE.

The 12 most intense peaks (2θ = 5–70°), low angle first:
| 2θ (°) | d (Å) | I (rel.) |
| --- | --- | --- |
| 22.04 | 4.032 | 37.1 |
| 25.91 | 3.439 | 13.3 |
| 27.08 | 3.292 | 100.0 |
| 31.37 | 2.851 | 20.3 |
| 34.27 | 2.616 | 36.5 |
| 38.68 | 2.328 | 12.2 |
| 41.13 | 2.195 | 32.4 |
| 44.96 | 2.016 | 61.7 |
| 53.28 | 1.719 | 34.8 |
| 57.73 | 1.597 | 10.2 |
| 60.78 | 1.524 | 12.6 |
| 67.19 | 1.393 | 14.1 |

Structure:
Cell lengths 8.0643, 8.0643, 8.0643 Å; angles 60.00, 60.00, 60.00 degrees
Element x y z (fractional)
Pr  0.2065  0.7645  0.7645
Pr  0.2355  0.2355  0.2355
Pr  0.2355  0.2355  0.7935
Pr  0.2355  0.7935  0.2355
Pr  0.7645  0.2065  0.7645
Pr  0.7645  0.7645  0.2065
Pr  0.7645  0.7645  0.7645
Pr  0.7935  0.2355  0.2355
Pt  0.3750  0.3750  0.3750
Pt  0.6250  0.6250  0.6250



No. 3
This entry pairs a crystal structure of KMg6CO8 with its calculated PXRD pattern. Radiation: Cu Kα. Structure: a crystal structure in the Materials Project, relaxed with GGA-PBE.

The 12 most intense peaks (2θ = 5–70°), low angle first:
| 2θ (°) | d (Å) | I (rel.) |
| --- | --- | --- |
| 20.39 | 4.355 | 5.2 |
| 22.78 | 3.904 | 5.0 |
| 28.82 | 3.097 | 4.9 |
| 35.57 | 2.524 | 15.5 |
| 36.91 | 2.435 | 5.5 |
| 40.96 | 2.203 | 50.1 |
| 41.47 | 2.177 | 100.0 |
| 47.83 | 1.902 | 1.4 |
| 51.29 | 1.781 | 1.8 |
| 56.71 | 1.623 | 2.7 |
| 59.71 | 1.549 | 55.0 |
| 60.10 | 1.540 | 27.8 |

Structure:
Cell lengths 4.3546, 4.3546, 8.8131 Å; angles 90.00, 90.00, 90.00 degrees
Element x y z (fractional)
K  0.0000  0.0000  0.0000
Mg  0.0000  0.0000  0.5000
Mg  0.0000  0.5000  0.2542
Mg  0.0000  0.5000  0.7458
Mg  0.5000  0.0000  0.2542
Mg  0.5000  0.0000  0.7458
Mg  0.5000  0.5000  0.5000
C  0.5000  0.5000  0.0000
O  0.0000  0.0000  0.2736
O  0.0000  0.0000  0.7264
O  0.0000  0.5000  0.0000
O  0.0000  0.5000  0.5000
O  0.5000  0.0000  0.0000
O  0.5000  0.0000  0.5000
O  0.5000  0.5000  0.2459
O  0.5000  0.5000  0.7541



No. 4
This entry pairs a crystal structure of LiB6H10O2 with its calculated PXRD pattern. Radiation: Cu Kα. Structure: a crystal structure in the Materials Project, relaxed with GGA-PBE.

The 12 most intense peaks (2θ = 5–70°), low angle first:
| 2θ (°) | d (Å) | I (rel.) |
| --- | --- | --- |
| 13.14 | 6.735 | 31.7 |
| 13.61 | 6.508 | 25.2 |
| 15.49 | 5.721 | 100.0 |
| 16.85 | 5.261 | 34.8 |
| 18.34 | 4.838 | 65.0 |
| 18.92 | 4.691 | 39.7 |
| 21.91 | 4.057 | 52.9 |
| 25.44 | 3.501 | 27.5 |
| 27.72 | 3.218 | 20.5 |
| 31.17 | 2.869 | 30.3 |
| 33.52 | 2.674 | 21.2 |
| 37.82 | 2.379 | 38.2 |

Structure:
Cell lengths 7.2285, 7.2285, 7.3978 Å; angles 111.22, 111.22, 80.92 degrees
Element x y z (fractional)
Li  0.1442  0.1442  0.0178
Li  0.8558  0.8558  0.9822
B  0.2793  0.5856  0.5339
B  0.3049  0.4937  0.2868
B  0.3288  0.3288  0.4238
B  0.4144  0.7207  0.4661
B  0.4528  0.4528  0.6878
B  0.4937  0.3049  0.2868
B  0.5063  0.6951  0.7131
B  0.5472  0.5472  0.3123
B  0.5856  0.2793  0.5339
B  0.6712  0.6712  0.5762
B  0.6951  0.5063  0.7131
B  0.7207  0.4144  0.4661
H  0.0519  0.2163  0.6618
H  0.1218  0.6456  0.5572
H  0.1652  0.4876  0.1344
H  0.2001  0.7473  0.8824
H  0.2065  0.2065  0.3680
H  0.2163  0.0519  0.6618
H  0.2527  0.7999  0.1176
H  0.3544  0.8782  0.4428
H  0.4192  0.4192  0.8196
H  0.4876  0.1652  0.1344
H  0.5124  0.8348  0.8656
H  0.5808  0.5808  0.1804
H  0.6456  0.1218  0.5572
H  0.7473  0.2001  0.8824
H  0.7837  0.9481  0.3382
H  0.7935  0.7935  0.6320
H  0.7999  0.2527  0.1176
H  0.8348  0.5124  0.8656
H  0.8782  0.3544  0.4428
H  0.9481  0.7837  0.3382
O  0.1239  0.1239  0.7341
O  0.1623  0.8377  0.0000
O  0.8377  0.1623  0.0000
O  0.8761  0.8761  0.2659